Record 1
# Li5PbAu6
Theoretical powder XRD pattern, CuKα. Input: a PBE-relaxed structure.
Intensities are scaled so that the largest is 100.

a b c (Å): 4.6039 13.9443 6.3943
angles (deg): 90.00 90.36 90.00
Space group C2/m (No. 12)
Symmetry-distinct sites (fractional):
Li 0.0000 0.0000 0.0000 x2
Li 0.0000 0.3353 0.5000 x4
Li 0.0000 0.3367 0.0000 x4
Pb 0.0000 0.0000 0.5000 x2
Au 0.0000 0.1801 0.2388 x8
Au 0.0004 0.5000 0.2199 x4

The 6 most intense peaks (10° ≤ 2θ ≤ 90°), by intensity:
index  Position (°2θ)  d [Å]  I_rel
1 3 0  27.3  3.271  100
1 3 -2  39.3  2.291  82
1 3 2  39.5  2.281  81
0 0 2  27.9  3.197  46
2 0 0  39.1  2.302  45
0 6 0  38.7  2.324  40

---

Record 2
# Li6Pb2Au
Theoretical powder XRD pattern, CuKα. Input: a PBE-relaxed structure.
Intensities are scaled so that the largest is 100.

a b c (Å): 8.3242 8.6065 4.6765
angles (deg): 90.00 90.00 90.00
Space group Pnnm (No. 58)
Symmetry-distinct sites (fractional):
Li 0.0015 0.1845 0.0000 x4
Li 0.1540 0.5962 0.5000 x4
Li 0.1780 0.9278 0.5000 x4
Pb 0.1683 0.2640 0.5000 x4
Au 0.0000 0.5000 0.0000 x2

The 6 most intense peaks (10° ≤ 2θ ≤ 90°), by intensity:
index  Position (°2θ)  d [Å]  I_rel
1 1 1  24.2  3.685  100
1 2 1  30.2  2.960  71
1 1 0  14.8  5.983  57
3 0 1  37.7  2.386  55
2 1 0  23.7  3.747  50
2 2 0  29.9  2.992  39

---

Record 3
# Li4PbAu
Theoretical powder XRD pattern, CuKα. Input: a PBE-relaxed structure.
Intensities are scaled so that the largest is 100.

a b c (Å): 4.6644 3.1885 14.4604
angles (deg): 90.00 90.00 90.00
Space group Amm2 (No. 38)
Symmetry-distinct sites (fractional):
Li 0.0000 0.0000 0.0000 x2
Li 0.0000 0.0000 0.3072 x2
Li 0.5000 0.0000 0.1134 x2
Li 0.5000 0.0000 0.7683 x2
Pb 0.5000 0.0000 0.4381 x2
Au 0.0000 0.0000 0.6585 x2

The 6 most intense peaks (10° ≤ 2θ ≤ 90°), by intensity:
index  Position (°2θ)  d [Å]  I_rel
1 0 2  22.7  3.920  100
1 1 3  39.0  2.310  47
0 1 5  42.2  2.142  37
0 0 4  24.6  3.615  37
0 1 1  28.7  3.114  35
1 1 1  34.6  2.590  30

---

Record 4
# LiSb2Pb2Au7
Theoretical powder XRD pattern, CuKα. Input: a PBE-relaxed structure.
Intensities are scaled so that the largest is 100.

a b c (Å): 5.9957 5.9954 16.4190
angles (deg): 90.00 100.15 90.00
Space group C2/m (No. 12)
Symmetry-distinct sites (fractional):
Li 0.0000 0.0000 0.0000 x2
Sb 0.1099 0.5000 0.2283 x4
Pb 0.2104 0.0000 0.4219 x4
Au 0.0000 0.5000 0.0000 x2
Au 0.1918 0.2495 0.8803 x8
Au 0.1992 0.5000 0.3990 x4

The 6 most intense peaks (10° ≤ 2θ ≤ 90°), by intensity:
index  Position (°2θ)  d [Å]  I_rel
2 0 -2  30.3  2.947  100
2 2 -1  42.7  2.120  80
0 2 5  41.1  2.198  63
0 0 4  22.0  4.040  38
1 1 0  21.1  4.204  37
2 0 4  40.9  2.205  32